For Ce3SnBi3, a cell relaxed with PBE gives the simulated powder XRD pattern in this record (Cu Ka).

Structural model:
abc: 9.244 9.244 6.013
angles: 90.00 90.00 120.00
Fractional positions:
Ce (0.093, 0.432, 0.250)
Ce (0.340, 0.907, 0.250)
Ce (0.432, 0.340, 0.750)
Ce (0.568, 0.660, 0.250)
Ce (0.660, 0.093, 0.750)
Ce (0.907, 0.568, 0.750)
Sn (0.333, 0.667, 0.750)
Sn (0.667, 0.333, 0.250)
Bi (0.054, 0.281, 0.750)
Bi (0.228, 0.946, 0.750)
Bi (0.281, 0.228, 0.250)
Bi (0.719, 0.772, 0.750)
Bi (0.772, 0.054, 0.250)
Bi (0.946, 0.719, 0.250)

Principal peaks in the range 5 to 70 degrees two-theta, by angle:
2theta  Rel. int.
19.20  11
29.52  29
29.72  40
33.15  100
42.38  22
52.07  11
52.37  10
54.95  24
61.38  12
63.40  14